Theoretical powder XRD pattern
Compound: Ba2Mn3O7
Radiation: Cu Kα X-rays
Structure: a crystal structure in Alexandria, relaxed with GGA+U
Intensities are scaled so that the largest is 1000.

```
Ba2Mn3O7
1.0
3.7672 0.0000 0.0000
0.0000 14.3661 0.0000
0.0000 0.0000 3.8048
Ba Mn O
2 3 7
Cartesian
0.0000 2.6029 0.0000
0.0000 11.7632 0.0000
1.8836 0.0000 2.2926
1.8836 4.9722 1.9108
1.8836 9.3939 1.9108
0.0000 0.0000 2.8876
0.0000 4.6907 1.9161
0.0000 9.6754 1.9161
1.8836 1.8290 1.8646
1.8836 4.7005 0.0086
1.8836 9.6656 0.0086
1.8836 12.5371 1.8646
```

The 10 most intense peaks (15° ≤ 2θ ≤ 90°), by intensity:
| (hkl) | 2θ (°) | d [Å] | I (rel.) |
| --- | --- | --- | --- |
| 0 3 1 | 30.00 | 2.979 | 1000 |
| 1 3 0 | 30.18 | 2.961 | 939 |
| 1 0 1 | 33.47 | 2.677 | 755 |
| 0 6 0 | 37.56 | 2.394 | 390 |
| 0 2 1 | 26.51 | 3.362 | 301 |
| 2 3 1 | 57.92 | 1.592 | 298 |
| 1 5 1 | 46.36 | 1.959 | 292 |
| 1 6 1 | 51.19 | 1.785 | 288 |
| 1 3 2 | 57.59 | 1.600 | 285 |
| 1 2 0 | 26.72 | 3.336 | 257 |